Simulated powder diffraction line list of Tm2Ta4N9 for copper Kα, from a crystal structure in Alexandria, relaxed with GGA-PBE.
Lines closer than 0.1° are merged.

Peak list (12 most intense, 2θ = 15–90°, by angle)
2theta, I (rel.)
22.40, 143
30.76, 1000
32.98, 933
45.72, 369
49.98, 265
53.25, 119
57.52, 361
58.90, 229
66.26, 105
69.18, 120
77.60, 144
85.40, 105

Atomic structure:
```
data_Tm2Ta4N9
_cell_length_a 5.4318
_cell_length_b 5.4318
_cell_length_c 14.7853
_cell_angle_alpha 90.00
_cell_angle_beta 90.00
_cell_angle_gamma 120.00
_symmetry_space_group_name_H-M 'P -3 c 1'
_symmetry_Int_Tables_number 165
_symmetry_space_group_name_Hall '-P 3 2"c'
loop_
_atom_site_label
_atom_site_type_symbol
_atom_site_fract_x
_atom_site_fract_y
_atom_site_fract_z
_atom_site_occupancy
Tm1 Tm 0.0000 0.0000 0.1384 1
Ta1 Ta 0.3333 0.6667 0.1930 1
Ta2 Ta 0.3333 0.6667 0.4801 1
N1 N 0.0000 0.3264 0.2500 1
N2 N 0.0206 0.4041 0.5846 1
```